Diffraction record for Ac2CoH6Ru. The X-ray powder pattern is simulated, not measured: it uses a structure optimized by DFT (PBE) and copper Kα.

Structure:
```
10
Lattice="0.0000 3.7713 3.9900 3.7642 0.0000 3.9900 3.7642 3.7713 0.0000" Properties=species:S:1:pos:R:3 pbc="T T T"
Ac 1.8821 1.8856 0.0000
Ac 1.8821 1.8856 3.9900
Co 3.7642 3.7713 2.2235
H 3.7642 1.9438 2.0123
H 5.5868 3.7713 2.0139
H 1.9415 3.7713 2.0139
H 3.7642 5.5988 2.0123
H 3.7642 3.7713 4.0038
H 3.7642 3.7713 7.6641
Ru 3.7642 3.7713 5.9040
```

Peak list (8 most intense, 10 to 90 degrees two-theta, in order of falling intensity)
d 2.739, intensity 100; d 2.664, intensity 47; d 1.552, intensity 37; d 3.768, intensity 22; d 1.597, intensity 19; d 1.884, intensity 18; d 3.990, intensity 13; d 2.216, intensity 13


Diffraction record for Al3GaBi. The X-ray powder pattern is simulated, not measured: it uses a structure optimized by DFT (PBE) and copper Kα.

Structure:
```
5
Lattice="4.9248 0.0000 0.0000 0.0000 4.9248 0.0000 0.0000 0.0000 4.9248" Properties=species:S:1:pos:R:3 pbc="T T T"
Al 0.0000 0.0000 2.4624
Al 0.0000 2.4624 0.0000
Al 2.4624 0.0000 0.0000
Ga 0.0000 0.0000 0.0000
Bi 2.4624 2.4624 2.4624
```

Peak list (8 most intense, 10 to 90 degrees two-theta, in order of falling intensity)
d 3.482, intensity 100; d 2.011, intensity 45; d 2.462, intensity 41; d 1.741, intensity 29; d 2.843, intensity 29; d 1.316, intensity 23; d 1.557, intensity 20; d 4.925, intensity 18


Diffraction record for CaPd7Au4. The X-ray powder pattern is simulated, not measured: it uses a structure optimized by DFT (PBE) and copper Kα.

Structure:
```
12
Lattice="4.9953 0.0000 0.0000 0.0163 5.7389 0.0000 2.4415 1.5301 7.0730" Properties=species:S:1:pos:R:3 pbc="T T T"
Ca 0.0000 0.0000 0.0000
Pd 0.0081 2.8694 0.0000
Pd 1.6951 5.7758 2.3596
Pd 3.2985 2.9343 4.7109
Pd 4.9366 2.9909 7.0692
Pd 2.5165 4.2780 0.0037
Pd 4.1546 4.3347 2.3621
Pd 5.7580 1.4931 4.7133
Au 1.6359 2.9234 2.3253
Au 3.3245 5.7795 4.7030
Au 4.1285 1.4895 2.3699
Au 5.8171 4.3455 4.7477
```

Peak list (8 most intense, 10 to 90 degrees two-theta, in order of falling intensity)
d 2.357, intensity 100; d 2.346, intensity 97; d 2.048, intensity 34; d 2.044, intensity 32; d 2.018, intensity 31; d 1.438, intensity 31; d 1.221, intensity 18; d 7.073, intensity 14


Diffraction record for Hf4PRu. The X-ray powder pattern is simulated, not measured: it uses a structure optimized by DFT (PBE) and copper Kα.

Structure:
```
12
Lattice="6.0833 0.0000 0.0000 0.0000 6.3422 0.0000 -0.7218 0.0000 6.4433" Properties=species:S:1:pos:R:3 pbc="T T T"
Hf 0.6954 0.9590 1.0993
Hf 0.3345 2.2121 4.3209
Hf 2.1014 4.1919 0.8894
Hf 1.7405 5.3213 4.1110
Hf 3.6210 1.0208 2.3323
Hf 3.2600 2.1503 5.5539
Hf 5.0269 4.1300 2.1224
Hf 4.6660 5.3832 5.3440
P -0.3609 0.0000 3.2216
P 0.0000 3.1711 0.0000
Ru 3.0416 0.0000 0.0000
Ru 2.6807 3.1711 3.2216
```

Peak list (8 most intense, 10 to 90 degrees two-theta, in order of falling intensity)
d 2.729, intensity 100; d 2.845, intensity 95; d 2.720, intensity 62; d 2.700, intensity 53; d 2.609, intensity 42; d 1.993, intensity 26; d 1.647, intensity 25; d 2.527, intensity 24


Diffraction record for La5Pb4. The X-ray powder pattern is simulated, not measured: it uses a structure optimized by DFT (PBE) and copper Kα.

Structure:
```
36
Lattice="8.6468 0.0000 0.0000 0.0000 16.4710 0.0000 0.0000 0.0000 8.7495" Properties=species:S:1:pos:R:3 pbc="T T T"
La 0.2733 1.6725 1.5646
La 0.2733 6.5630 1.5646
La 1.0177 10.1647 2.9849
La 1.0177 14.5417 2.9849
La 1.8449 4.1177 4.4083
La 2.4785 12.3532 0.0335
La 3.3057 1.9292 7.3596
La 3.3057 6.3063 7.3596
La 4.0501 9.9080 5.9394
La 4.0501 14.7984 5.9394
La 4.5967 1.6725 2.8101
La 4.5967 6.5630 2.8101
La 5.3411 10.1647 1.3899
La 5.3411 14.5417 1.3899
La 6.1683 4.1177 8.7160
La 6.8019 12.3532 4.3412
La 7.6291 1.9292 5.7647
La 7.6291 6.3063 5.7647
La 8.3735 9.9080 7.1849
La 8.3735 14.7984 7.1849
Pb 0.6947 4.1177 7.7014
Pb 1.4005 12.3532 5.6357
Pb 1.9260 0.7198 4.6508
Pb 1.9260 7.5157 4.6508
Pb 2.3974 8.9553 0.2761
Pb 2.3974 15.7511 0.2761
Pb 2.9229 4.1177 1.2610
Pb 3.6287 12.3532 3.3266
Pb 5.0181 4.1177 5.4229
Pb 5.7239 12.3532 7.4885
Pb 6.2494 0.7198 8.4734
Pb 6.2494 7.5157 8.4734
Pb 6.7208 8.9553 4.0987
Pb 6.7208 15.7511 4.0987
Pb 7.2463 4.1177 3.1138
Pb 7.9520 12.3532 1.0482
```

Peak list (8 most intense, 10 to 90 degrees two-theta, in order of falling intensity)
d 3.181, intensity 100; d 2.741, intensity 60; d 2.822, intensity 59; d 2.725, intensity 57; d 3.075, intensity 42; d 3.166, intensity 37; d 2.701, intensity 36; d 2.118, intensity 30


Diffraction record for Sm4Ni3Ge. The X-ray powder pattern is simulated, not measured: it uses a structure optimized by DFT (PBE) and copper Kα.

Structure:
```
8
Lattice="4.0057 0.0000 0.0000 0.0000 4.2318 0.0000 0.0000 0.0000 10.4670" Properties=species:S:1:pos:R:3 pbc="T T T"
Sm 0.0000 0.0000 0.0000
Sm 0.0000 2.1159 2.8354
Sm 2.0029 0.0000 5.0628
Sm 2.0029 2.1159 8.0968
Ni 0.0000 2.1159 5.8458
Ni 2.0029 0.0000 2.1024
Ni 2.0029 2.1159 0.7119
Ge 0.0000 0.0000 7.3413
```

Peak list (8 most intense, 10 to 90 degrees two-theta, in order of falling intensity)
d 2.803, intensity 100; d 2.234, intensity 47; d 2.631, intensity 45; d 3.291, intensity 33; d 2.116, intensity 26; d 2.617, intensity 22; d 1.649, intensity 22; d 2.003, intensity 22


Diffraction record for LiHoH8Ir2. The X-ray powder pattern is simulated, not measured: it uses a structure optimized by DFT (PBE) and copper Kα.

Structure:
```
12
Lattice="3.9782 -2.1646 0.0000 3.9782 2.1646 0.0000 -2.5054 0.0000 5.4715" Properties=species:S:1:pos:R:3 pbc="T T T"
Li 0.0000 0.0000 0.0000
Ho 2.7255 0.0000 2.7358
H -1.1925 0.0000 3.7037
H 0.9494 1.1106 3.7535
H 1.7411 0.0000 0.6052
H 4.5015 1.1106 1.7180
H 0.9494 -1.1106 3.7535
H 3.7098 0.0000 4.8663
H 4.5015 -1.1106 1.7180
H 6.6434 0.0000 1.7678
Ir 0.1705 0.0000 4.6715
Ir 5.2804 0.0000 0.8000
```

Peak list (8 most intense, 10 to 90 degrees two-theta, in order of falling intensity)
d 2.469, intensity 100; d 2.261, intensity 97; d 2.807, intensity 96; d 3.715, intensity 77; d 2.566, intensity 61; d 2.818, intensity 57; d 2.165, intensity 44; d 3.433, intensity 33


Diffraction record for Cs3YTe3. The X-ray powder pattern is simulated, not measured: it uses a structure optimized by DFT (PBE) and copper Kα.

Structure:
```
14
Lattice="5.2402 -8.0112 0.0000 5.2402 8.0112 0.0000 -1.8778 0.0000 9.1577" Properties=species:S:1:pos:R:3 pbc="T T T"
Cs 5.2402 5.1660 0.0000
Cs 4.3014 4.0293 4.5788
Cs 3.7894 0.0000 1.2598
Cs 4.8133 0.0000 7.8979
Cs 4.3014 -4.0293 4.5788
Cs 5.2402 -5.1660 0.0000
Y 0.6099 0.0000 5.8937
Y 7.9929 0.0000 3.2639
Te 0.4708 0.0000 2.8968
Te 1.7383 2.3752 7.1134
Te 1.7383 -2.3752 7.1134
Te 6.8644 2.3752 2.0443
Te 6.8644 -2.3752 2.0443
Te 8.1319 0.0000 6.2609
```

Peak list (8 most intense, 10 to 90 degrees two-theta, in order of falling intensity)
d 4.057, intensity 100; d 3.152, intensity 51; d 3.364, intensity 50; d 3.448, intensity 47; d 6.895, intensity 29; d 3.045, intensity 29; d 3.975, intensity 25; d 3.120, intensity 25


Diffraction record for Ce2Al3Ge4. The X-ray powder pattern is simulated, not measured: it uses a structure optimized by DFT (PBE) and copper Kα.

Structure:
```
18
Lattice="2.9934 -7.5171 0.0000 2.9934 7.5171 0.0000 0.0000 0.0000 7.9679" Properties=species:S:1:pos:R:3 pbc="T T T"
Ce 2.9934 5.7995 7.3227
Ce 2.9934 1.7175 3.3387
Ce 2.9934 -1.7175 4.6292
Ce 2.9934 -5.7995 0.6452
Al 0.0000 0.0000 3.9840
Al 1.4967 3.2359 5.9760
Al 1.4967 -3.2359 1.9920
Al 2.9934 0.0000 0.0000
Al 4.4900 3.2359 5.9760
Al 4.4900 -3.2359 1.9920
Ge 2.9934 4.7504 4.3932
Ge 1.4967 0.6998 5.9760
Ge 1.4967 -0.6998 1.9920
Ge 2.9934 2.7667 0.4092
Ge 2.9934 -2.7667 7.5587
Ge 4.4900 0.6998 5.9760
Ge 4.4900 -0.6998 1.9920
Ge 2.9934 -4.7504 3.5747
```

Peak list (8 most intense, 10 to 90 degrees two-theta, in order of falling intensity)
d 2.546, intensity 100; d 2.504, intensity 77; d 2.393, intensity 77; d 2.626, intensity 60; d 2.766, intensity 47; d 2.342, intensity 34; d 4.561, intensity 30; d 2.390, intensity 26